[1]
Diffraction record for NpPd3Pt4. The powder diffractogram is simulated, not measured: it uses a DFT-relaxed cell (PBE, Alexandria) and Cu Ka.
Lines closer than 0.1° are merged.

Largest 10 diffraction maxima, most intense first, 15° ≤ 2θ ≤ 90°:
| 2θ (°) | I/Imax |
| --- | --- |
| 41.20 | 100.0 |
| 41.07 | 51.9 |
| 38.66 | 50.5 |
| 37.49 | 33.9 |
| 71.66 | 30.4 |
| 78.15 | 26.0 |
| 64.88 | 21.9 |
| 46.85 | 18.1 |
| 37.35 | 16.5 |
| 79.99 | 15.1 |

Structural model:
abc: 9.316 5.726 4.985
angles: 90.00 90.00 90.00
Sites, in units of the cell vectors:
Np (0.000, 0.000, 0.000)
Np (0.500, 0.000, 0.000)
Pd (0.000, 0.500, 0.000)
Pd (0.250, 0.000, 0.351)
Pd (0.250, 0.500, 0.321)
Pd (0.500, 0.500, 0.000)
Pd (0.750, 0.000, 0.649)
Pd (0.750, 0.500, 0.679)
Pt (0.000, 0.253, 0.500)
Pt (0.000, 0.747, 0.500)
Pt (0.250, 0.258, 0.829)
Pt (0.250, 0.742, 0.829)
Pt (0.500, 0.253, 0.500)
Pt (0.500, 0.747, 0.500)
Pt (0.750, 0.258, 0.171)
Pt (0.750, 0.742, 0.171)

=====

[2]
Diffraction record for Pm7Tl2Co. The powder diffractogram is simulated, not measured: it uses a DFT-relaxed cell (PBE, Alexandria) and Cu Ka.
Lines closer than 0.1° are merged.

Largest 10 diffraction maxima, most intense first, 15° ≤ 2θ ≤ 90°:
| 2θ (°) | I/Imax |
| --- | --- |
| 28.32 | 100.0 |
| 32.81 | 99.3 |
| 47.09 | 71.2 |
| 55.86 | 43.1 |
| 78.33 | 29.9 |
| 58.58 | 24.2 |
| 23.04 | 23.0 |
| 87.56 | 22.6 |
| 75.99 | 16.5 |
| 68.79 | 11.0 |

Structural model:
abc: 7.720 7.720 7.720
angles: 60.00 60.00 60.00
Sites, in units of the cell vectors:
Pm (0.000, 0.000, 0.000)
Pm (0.263, 0.263, 0.737)
Pm (0.263, 0.737, 0.263)
Pm (0.263, 0.737, 0.737)
Pm (0.737, 0.263, 0.263)
Pm (0.737, 0.263, 0.737)
Pm (0.737, 0.737, 0.263)
Tl (0.250, 0.250, 0.250)
Tl (0.750, 0.750, 0.750)
Co (0.500, 0.500, 0.500)

=====

[3]
Diffraction record for LiAg5F7. The powder diffractogram is simulated, not measured: it uses a DFT-relaxed cell (PBE, Alexandria) and Cu Ka.
Lines closer than 0.1° are merged.

Largest 10 diffraction maxima, most intense first, 15° ≤ 2θ ≤ 90°:
| 2θ (°) | I/Imax |
| --- | --- |
| 29.42 | 100.0 |
| 30.62 | 98.5 |
| 31.08 | 79.0 |
| 35.56 | 50.1 |
| 23.39 | 44.3 |
| 30.50 | 36.8 |
| 32.31 | 34.3 |
| 31.77 | 32.3 |
| 35.18 | 30.7 |
| 36.87 | 28.2 |

Structural model:
abc: 3.225 6.131 19.818
angles: 90.62 92.80 97.82
Sites, in units of the cell vectors:
Li (0.000, 0.000, 0.000)
Li (0.412, 0.084, 0.504)
Ag (0.001, 0.067, 0.665)
Ag (0.207, 0.521, 0.943)
Ag (0.210, 0.564, 0.562)
Ag (0.240, 0.541, 0.252)
Ag (0.418, 0.017, 0.839)
Ag (0.590, 0.085, 0.339)
Ag (0.670, 0.496, 0.070)
Ag (0.709, 0.542, 0.752)
Ag (0.751, 0.589, 0.435)
Ag (0.897, 0.001, 0.169)
F (0.016, 0.170, 0.922)
F (0.017, 0.257, 0.775)
F (0.064, 0.198, 0.074)
F (0.193, 0.402, 0.357)
F (0.249, 0.683, 0.147)
F (0.343, 0.884, 0.431)
F (0.401, 0.827, 0.729)
F (0.403, 0.915, 0.583)
F (0.456, 0.829, 0.000)
F (0.557, 0.259, 0.224)
F (0.668, 0.416, 0.649)
F (0.750, 0.669, 0.855)
F (0.926, 0.830, 0.277)
F (0.956, 0.256, 0.504)

=====

[4]
Diffraction record for PuTiH2O6. The powder diffractogram is simulated, not measured: it uses a DFT-relaxed cell (PBE, Alexandria) and Cu Ka.
Lines closer than 0.1° are merged.

Largest 10 diffraction maxima, most intense first, 15° ≤ 2θ ≤ 90°:
| 2θ (°) | I/Imax |
| --- | --- |
| 23.85 | 100.0 |
| 22.00 | 62.0 |
| 20.20 | 52.8 |
| 18.63 | 31.7 |
| 21.29 | 26.3 |
| 31.03 | 22.9 |
| 32.29 | 19.7 |
| 32.39 | 19.1 |
| 41.00 | 17.6 |
| 32.89 | 16.6 |

Structural model:
abc: 5.049 5.252 5.565
angles: 62.25 89.94 64.03
Sites, in units of the cell vectors:
Pu (0.000, 0.000, 0.000)
Ti (0.500, 0.000, 0.500)
H (0.399, 0.516, 0.718)
H (0.601, 0.484, 0.282)
O (0.152, 0.112, 0.255)
O (0.241, 0.125, 0.747)
O (0.417, 0.468, 0.268)
O (0.583, 0.532, 0.732)
O (0.759, 0.875, 0.253)
O (0.848, 0.888, 0.745)

=====

[5]
Diffraction record for Sc3Bi2Te. The powder diffractogram is simulated, not measured: it uses a DFT-relaxed cell (PBE, Alexandria) and Cu Ka.
Lines closer than 0.1° are merged.

Largest 10 diffraction maxima, most intense first, 15° ≤ 2θ ≤ 90°:
| 2θ (°) | I/Imax |
| --- | --- |
| 29.86 | 100.0 |
| 42.74 | 75.3 |
| 25.79 | 50.3 |
| 50.59 | 35.3 |
| 70.36 | 34.2 |
| 53.01 | 26.6 |
| 78.26 | 23.5 |
| 25.77 | 17.1 |
| 62.03 | 12.4 |
| 68.30 | 8.8 |

Structural model:
abc: 7.331 7.331 7.324
angles: 99.59 99.59 119.98
Sites, in units of the cell vectors:
Sc (0.083, 0.416, 0.749)
Sc (0.249, 0.249, 0.249)
Sc (0.416, 0.083, 0.749)
Sc (0.584, 0.917, 0.251)
Sc (0.751, 0.751, 0.751)
Sc (0.917, 0.584, 0.251)
Bi (0.000, 0.000, 0.500)
Bi (0.334, 0.666, 0.500)
Bi (0.500, 0.500, 0.000)
Bi (0.666, 0.334, 0.500)
Te (0.167, 0.833, 0.000)
Te (0.833, 0.167, 0.000)

=====

[6]
Diffraction record for Tb2DyCo. The powder diffractogram is simulated, not measured: it uses a DFT-relaxed cell (PBE, Alexandria) and Cu Ka.
Lines closer than 0.1° are merged.

Largest 10 diffraction maxima, most intense first, 15° ≤ 2θ ≤ 90°:
| 2θ (°) | I/Imax |
| --- | --- |
| 32.12 | 100.0 |
| 30.50 | 62.9 |
| 48.42 | 43.3 |
| 29.85 | 32.1 |
| 57.93 | 30.3 |
| 52.34 | 24.5 |
| 27.60 | 20.2 |
| 38.46 | 19.5 |
| 82.36 | 18.4 |
| 59.30 | 17.2 |

Structural model:
abc: 3.760 3.760 26.937
angles: 90.00 90.00 120.00
Sites, in units of the cell vectors:
Tb (0.000, 0.000, 0.000)
Tb (0.000, 0.000, 0.219)
Tb (0.333, 0.667, 0.667)
Tb (0.333, 0.667, 0.885)
Tb (0.667, 0.333, 0.333)
Tb (0.667, 0.333, 0.552)
Dy (0.000, 0.000, 0.774)
Dy (0.333, 0.667, 0.441)
Dy (0.667, 0.333, 0.108)
Co (0.000, 0.000, 0.609)
Co (0.333, 0.667, 0.276)
Co (0.667, 0.333, 0.943)